[1]
The following is a calculated powder diffractogram of Y2ScPaBi4. It was derived from a DFT-relaxed cell (PBE, Alexandria), using CuKα.
Kinematic intensities with the Lorentz-polarization factor, no thermal factor.

```
data_Y2ScPaBi4
_chemical_formula_sum 'Y2 Sc1 Pa1 Bi4'
_space_group_name_H-M_alt 'P 1 2/m 1'
_space_group_IT_number 10
_cell_length_a 7.6658
_cell_length_b 4.4291
_cell_length_c 7.6985
_cell_angle_alpha 90.00
_cell_angle_beta 109.28
_cell_angle_gamma 90.00
loop_
_space_group_symop_operation_xyz
'x,y,z'
'-x,-y,-z'
'-x,y,-z'
'x,-y,z'
loop_
_atom_site_label
_atom_site_fract_x
_atom_site_fract_y
_atom_site_fract_z
Y1 0.0000 0.0000 0.0000
Y2 0.5000 0.5000 0.0000
Sc1 0.0000 0.5000 0.5000
Pa1 0.5000 0.0000 0.5000
Bi1 0.2401 0.0000 0.7399
Bi2 0.2433 0.5000 0.2533
```

Principal peaks in the range 10° ≤ 2θ ≤ 90°, low angle first:
- 3.617 Å, I 12, hkl 1 1 -1
- 3.136 Å, I 100, hkl 1 1 1
- 2.221 Å, I 39, hkl 1 1 -3
- 2.214 Å, I 39, hkl 0 2 0
- 1.817 Å, I 7, hkl 0 0 4
- 1.809 Å, I 21, hkl 2 2 -2
- 1.569 Å, I 9, hkl 2 2 2
- 1.405 Å, I 12, hkl 0 2 4
- 1.401 Å, I 18, hkl 1 3 1
- 1.280 Å, I 13, hkl 1 3 -3

---

[2]
The following is a calculated powder diffractogram of Pa4Bi3Se2. It was derived from a DFT-relaxed cell (PBE, Alexandria), using CuKα.
Kinematic intensities with the Lorentz-polarization factor, no thermal factor.

```
data_Pa4Bi3Se2
_chemical_formula_sum 'Pa8 Bi6 Se4'
_space_group_name_H-M_alt 'C 1 2/m 1'
_space_group_IT_number 12
_cell_length_a 13.1770
_cell_length_b 4.2020
_cell_length_c 9.4467
_cell_angle_alpha 90.00
_cell_angle_beta 95.13
_cell_angle_gamma 90.00
loop_
_space_group_symop_operation_xyz
'x,y,z'
'-x,-y,-z'
'-x,y,-z'
'x,-y,z'
'x+1/2,y+1/2,z'
'-x+1/2,-y+1/2,-z'
'-x+1/2,y+1/2,-z'
'x+1/2,-y+1/2,z'
loop_
_atom_site_label
_atom_site_fract_x
_atom_site_fract_y
_atom_site_fract_z
Pa1 0.0742 0.0000 0.1745
Pa2 0.1670 0.5000 0.5971
Bi1 0.0000 0.0000 0.5000
Bi2 0.1184 0.5000 0.9179
Se1 0.2025 0.5000 0.2961
```

Principal peaks in the range 10° ≤ 2θ ≤ 90°, low angle first:
- 3.647 Å, I 30, hkl 1 1 1
- 3.030 Å, I 100, hkl 3 1 0
- 3.014 Å, I 41, hkl 4 0 1
- 2.934 Å, I 93, hkl 2 0 -3
- 2.834 Å, I 69, hkl 3 1 1
- 2.623 Å, I 48, hkl 3 1 -2
- 2.436 Å, I 92, hkl 1 1 3
- 2.101 Å, I 42, hkl 0 2 0
- 2.074 Å, I 32, hkl 5 1 -2
- 1.708 Å, I 37, hkl 2 2 -3

---

[3]
The following is a calculated powder diffractogram of Pa2SnBi. It was derived from a DFT-relaxed cell (PBE, Alexandria), using CuKα.
Kinematic intensities with the Lorentz-polarization factor, no thermal factor.

```
data_Pa2SnBi
_chemical_formula_sum 'Pa2 Sn1 Bi1'
_space_group_name_H-M_alt 'P 4/m m m'
_space_group_IT_number 123
_space_group_name_Hall '-P 4 2'
_cell_length_a 3.7382
_cell_length_b 3.7382
_cell_length_c 7.7240
_cell_angle_alpha 90.00
_cell_angle_beta 90.00
_cell_angle_gamma 90.00
loop_
_atom_site_label
_atom_site_fract_x
_atom_site_fract_y
_atom_site_fract_z
Pa1 0.0000 0.0000 0.2437
Sn1 0.5000 0.5000 0.0000
Bi1 0.5000 0.5000 0.5000
```

Principal peaks in the range 10° ≤ 2θ ≤ 90°, low angle first:
- 2.686 Å, I 100, hkl 1 0 2
- 2.643 Å, I 48, hkl 1 1 0
- 1.931 Å, I 10, hkl 0 0 4
- 1.869 Å, I 18, hkl 2 0 0
- 1.559 Å, I 20, hkl 1 1 4
- 1.534 Å, I 38, hkl 2 1 2
- 1.343 Å, I 12, hkl 2 0 4
- 1.217 Å, I 9, hkl 1 0 6
- 1.186 Å, I 8, hkl 3 0 2
- 1.182 Å, I 8, hkl 3 1 0

---

[4]
The following is a calculated powder diffractogram of PaTaBi. It was derived from a DFT-relaxed cell (PBE, Alexandria), using CuKα.
Kinematic intensities with the Lorentz-polarization factor, no thermal factor.

```
data_PaTaBi
_chemical_formula_sum 'Pa4 Ta4 Bi4'
_space_group_name_H-M_alt 'I 4/m m m'
_space_group_IT_number 139
_space_group_name_Hall '-I 4 2'
_cell_length_a 3.2594
_cell_length_b 3.2594
_cell_length_c 30.0576
_cell_angle_alpha 90.00
_cell_angle_beta 90.00
_cell_angle_gamma 90.00
loop_
_atom_site_label
_atom_site_fract_x
_atom_site_fract_y
_atom_site_fract_z
Pa1 0.0000 0.0000 0.1527
Ta1 0.0000 0.0000 0.2776
Bi1 0.0000 0.0000 0.4353
```

Principal peaks in the range 10° ≤ 2θ ≤ 90°, low angle first:
- 3.100 Å, I 20, hkl 1 0 3
- 3.006 Å, I 11, hkl 0 0 10
- 2.596 Å, I 100, hkl 1 0 7
- 2.305 Å, I 41, hkl 1 1 0
- 2.147 Å, I 9, hkl 0 0 14
- 1.829 Å, I 11, hkl 1 1 10
- 1.630 Å, I 14, hkl 2 0 0
- 1.571 Å, I 14, hkl 1 1 14
- 1.554 Å, I 10, hkl 1 0 17
- 1.380 Å, I 29, hkl 2 1 7

---

[5]
The following is a calculated powder diffractogram of PaTaBi. It was derived from a DFT-relaxed cell (PBE, Alexandria), using CuKα.
Kinematic intensities with the Lorentz-polarization factor, no thermal factor.

```
data_PaTaBi
_chemical_formula_sum 'Pa2 Ta2 Bi2'
_space_group_name_H-M_alt 'I 4 m m'
_space_group_IT_number 107
_space_group_name_Hall 'I 4 -2'
_cell_length_a 3.5257
_cell_length_b 3.5257
_cell_length_c 11.8569
_cell_angle_alpha 90.00
_cell_angle_beta 90.00
_cell_angle_gamma 90.00
loop_
_atom_site_label
_atom_site_fract_x
_atom_site_fract_y
_atom_site_fract_z
Pa1 0.0000 0.0000 0.0000
Ta1 0.0000 0.0000 0.6543
Bi1 0.0000 0.0000 0.2943
```

Principal peaks in the range 10° ≤ 2θ ≤ 90°, low angle first:
- 2.631 Å, I 100, hkl 1 0 3
- 2.493 Å, I 48, hkl 1 1 0
- 1.976 Å, I 8, hkl 0 0 6
- 1.968 Å, I 6, hkl 1 0 5
- 1.763 Å, I 17, hkl 2 0 0
- 1.549 Å, I 15, hkl 1 1 6
- 1.464 Å, I 34, hkl 2 1 3
- 1.315 Å, I 9, hkl 2 0 6
- 1.126 Å, I 8, hkl 3 0 3
- 1.115 Å, I 8, hkl 3 1 0

---

[6]
The following is a calculated powder diffractogram of Tb2PaBi3. It was derived from a DFT-relaxed cell (PBE, Alexandria), using CuKα.
Kinematic intensities with the Lorentz-polarization factor, no thermal factor.

```
data_Tb2PaBi3
_chemical_formula_sum 'Tb4 Pa2 Bi6'
_space_group_name_H-M_alt 'I 4/m m m'
_space_group_IT_number 139
_space_group_name_Hall '-I 4 2'
_cell_length_a 4.4941
_cell_length_b 4.4941
_cell_length_c 19.0109
_cell_angle_alpha 90.00
_cell_angle_beta 90.00
_cell_angle_gamma 90.00
loop_
_atom_site_label
_atom_site_fract_x
_atom_site_fract_y
_atom_site_fract_z
Tb1 0.0000 0.0000 0.1680
Pa1 0.0000 0.0000 0.5000
Bi1 0.0000 0.0000 0.0000
Bi2 0.0000 0.0000 0.3337
```

Principal peaks in the range 10° ≤ 2θ ≤ 90°, low angle first:
- 3.175 Å, I 100, hkl 1 1 0
- 2.245 Å, I 78, hkl 2 0 0
- 1.833 Å, I 29, hkl 2 0 6
- 1.589 Å, I 9, hkl 2 2 0
- 1.584 Å, I 4, hkl 0 0 12
- 1.421 Å, I 25, hkl 3 1 0
- 1.418 Å, I 12, hkl 1 1 12
- 1.297 Å, I 19, hkl 3 1 6
- 1.295 Å, I 9, hkl 2 0 12
- 1.122 Å, I 6, hkl 2 2 12

---

[7]
The following is a calculated powder diffractogram of PaTiBi4. It was derived from a DFT-relaxed cell (PBE, Alexandria), using CuKα.
Kinematic intensities with the Lorentz-polarization factor, no thermal factor.

```
data_PaTiBi4
_chemical_formula_sum 'Pa2 Ti2 Bi8'
_space_group_name_H-M_alt 'C 1 2/m 1'
_space_group_IT_number 12
_cell_length_a 16.0661
_cell_length_b 4.7201
_cell_length_c 4.7513
_cell_angle_alpha 90.00
_cell_angle_beta 90.10
_cell_angle_gamma 90.00
loop_
_space_group_symop_operation_xyz
'x,y,z'
'-x,-y,-z'
'-x,y,-z'
'x,-y,z'
'x+1/2,y+1/2,z'
'-x+1/2,-y+1/2,-z'
'-x+1/2,y+1/2,-z'
'x+1/2,-y+1/2,z'
loop_
_atom_site_label
_atom_site_fract_x
_atom_site_fract_y
_atom_site_fract_z
Pa1 0.0000 0.0000 0.0000
Ti1 0.0000 0.5000 0.5000
Bi1 0.1421 0.0000 0.5010
Bi2 0.1416 0.5000 0.0010
```

Principal peaks in the range 10° ≤ 2θ ≤ 90°, low angle first:
- 4.017 Å, I 13, hkl 4 0 0
- 2.839 Å, I 100, hkl 3 1 1
- 2.678 Å, I 12, hkl 6 0 0
- 2.376 Å, I 18, hkl 0 0 2
- 2.360 Å, I 18, hkl 0 2 0
- 2.318 Å, I 13, hkl 5 1 -1
- 1.674 Å, I 13, hkl 0 2 2
- 1.446 Å, I 13, hkl 3 1 3
- 1.439 Å, I 13, hkl 3 3 1
- 1.339 Å, I 11, hkl 11 1 -1

---

[8]
The following is a calculated powder diffractogram of PaTiBi4. It was derived from a DFT-relaxed cell (PBE, Alexandria), using CuKα.
Kinematic intensities with the Lorentz-polarization factor, no thermal factor.

```
data_PaTiBi4
_chemical_formula_sum 'Pa4 Ti4 Bi16'
_space_group_name_H-M_alt 'I 4/m c m'
_space_group_IT_number 140
_space_group_name_Hall '-I 4 2c'
_cell_length_a 7.3421
_cell_length_b 7.3421
_cell_length_c 12.7308
_cell_angle_alpha 90.00
_cell_angle_beta 90.00
_cell_angle_gamma 90.00
loop_
_atom_site_label
_atom_site_fract_x
_atom_site_fract_y
_atom_site_fract_z
Pa1 0.0000 0.0000 0.2500
Ti1 0.0000 0.0000 0.0000
Bi1 0.1566 0.3434 0.1209
```

Principal peaks in the range 10° ≤ 2θ ≤ 90°, low angle first:
- 3.180 Å, I 100, hkl 0 0 4
- 2.713 Å, I 34, hkl 1 1 4
- 2.597 Å, I 46, hkl 2 1 3
- 2.405 Å, I 34, hkl 2 0 4
- 2.322 Å, I 42, hkl 3 1 0
- 2.012 Å, I 29, hkl 2 1 5
- 1.590 Å, I 35, hkl 0 0 8
- 1.520 Å, I 25, hkl 3 3 4
- 1.312 Å, I 17, hkl 3 1 8
- 1.299 Å, I 18, hkl 4 4 0

---

[9]
The following is a calculated powder diffractogram of PaTlBi. It was derived from a DFT-relaxed cell (PBE, Alexandria), using CuKα.
Kinematic intensities with the Lorentz-polarization factor, no thermal factor.

```
data_PaTlBi
_chemical_formula_sum 'Pa2 Tl2 Bi2'
_space_group_name_H-M_alt 'I 4 m m'
_space_group_IT_number 107
_space_group_name_Hall 'I 4 -2'
_cell_length_a 3.9679
_cell_length_b 3.9679
_cell_length_c 10.7673
_cell_angle_alpha 90.00
_cell_angle_beta 90.00
_cell_angle_gamma 90.00
loop_
_atom_site_label
_atom_site_fract_x
_atom_site_fract_y
_atom_site_fract_z
Pa1 0.0000 0.0000 0.0000
Tl1 0.0000 0.0000 0.3254
Bi1 0.0000 0.0000 0.6604
```

Principal peaks in the range 10° ≤ 2θ ≤ 90°, low angle first:
- 2.806 Å, I 58, hkl 1 1 0
- 2.662 Å, I 100, hkl 1 0 3
- 1.984 Å, I 22, hkl 2 0 0
- 1.795 Å, I 8, hkl 0 0 6
- 1.591 Å, I 44, hkl 2 1 3
- 1.512 Å, I 18, hkl 1 1 6
- 1.331 Å, I 12, hkl 2 0 6
- 1.255 Å, I 10, hkl 3 1 0
- 1.241 Å, I 10, hkl 3 0 3
- 1.145 Å, I 8, hkl 1 0 9

---

[10]
The following is a calculated powder diffractogram of PaTlBi. It was derived from a DFT-relaxed cell (PBE, Alexandria), using CuKα.
Kinematic intensities with the Lorentz-polarization factor, no thermal factor.

```
data_PaTlBi
_chemical_formula_sum 'Pa1 Tl1 Bi1'
_space_group_name_H-M_alt 'P 3 m 1'
_space_group_IT_number 156
_cell_length_a 5.5168
_cell_length_b 5.5168
_cell_length_c 3.2412
_cell_angle_alpha 90.00
_cell_angle_beta 90.00
_cell_angle_gamma 120.00
loop_
_space_group_symop_operation_xyz
'x,y,z'
'-y,x-y,z'
'-x+y,-x,z'
'-y,-x,z'
'-x+y,y,z'
'x,x-y,z'
loop_
_atom_site_label
_atom_site_fract_x
_atom_site_fract_y
_atom_site_fract_z
Pa1 0.0000 0.0000 0.0000
Tl1 0.6667 0.3333 0.4531
Bi1 0.3333 0.6667 0.5432
```

Principal peaks in the range 10° ≤ 2θ ≤ 90°, low angle first:
- 2.758 Å, I 100, hkl 1 1 0
- 2.682 Å, I 87, hkl 1 0 1
- 2.101 Å, I 6, hkl 1 1 1
- 1.923 Å, I 34, hkl 0 2 1
- 1.593 Å, I 20, hkl 3 0 0
- 1.577 Å, I 36, hkl 2 1 1
- 1.397 Å, I 21, hkl 1 1 2
- 1.379 Å, I 12, hkl 2 2 0
- 1.227 Å, I 16, hkl 1 3 1
- 1.136 Å, I 11, hkl 3 0 2

---

[11]
The following is a calculated powder diffractogram of Tm2PaBi3. It was derived from a DFT-relaxed cell (PBE, Alexandria), using CuKα.
Kinematic intensities with the Lorentz-polarization factor, no thermal factor.

```
data_Tm2PaBi3
_chemical_formula_sum 'Tm4 Pa2 Bi6'
_space_group_name_H-M_alt 'I 4/m m m'
_space_group_IT_number 139
_space_group_name_Hall '-I 4 2'
_cell_length_a 4.4606
_cell_length_b 4.4606
_cell_length_c 18.8268
_cell_angle_alpha 90.00
_cell_angle_beta 90.00
_cell_angle_gamma 90.00
loop_
_atom_site_label
_atom_site_fract_x
_atom_site_fract_y
_atom_site_fract_z
Tm1 0.0000 0.0000 0.1671
Pa1 0.0000 0.0000 0.5000
Bi1 0.0000 0.0000 0.0000
Bi2 0.0000 0.0000 0.3320
```

Principal peaks in the range 10° ≤ 2θ ≤ 90°, low angle first:
- 3.154 Å, I 100, hkl 1 1 0
- 3.138 Å, I 49, hkl 0 0 6
- 2.230 Å, I 39, hkl 2 0 0
- 2.225 Å, I 78, hkl 1 1 6
- 1.818 Å, I 43, hkl 2 0 6
- 1.577 Å, I 14, hkl 2 2 0
- 1.410 Å, I 38, hkl 3 1 0
- 1.405 Å, I 18, hkl 1 1 12
- 1.287 Å, I 28, hkl 3 1 6
- 1.283 Å, I 14, hkl 2 0 12

---

[12]
The following is a calculated powder diffractogram of Tm3PaBi4. It was derived from a DFT-relaxed cell (PBE, Alexandria), using CuKα.
Kinematic intensities with the Lorentz-polarization factor, no thermal factor.

```
data_Tm3PaBi4
_chemical_formula_sum 'Tm6 Pa2 Bi8'
_space_group_name_H-M_alt 'I 4/m m m'
_space_group_IT_number 139
_space_group_name_Hall '-I 4 2'
_cell_length_a 6.2920
_cell_length_b 6.2920
_cell_length_c 12.5511
_cell_angle_alpha 90.00
_cell_angle_beta 90.00
_cell_angle_gamma 90.00
loop_
_atom_site_label
_atom_site_fract_x
_atom_site_fract_y
_atom_site_fract_z
Tm1 0.0000 0.0000 0.0000
Tm2 0.0000 0.5000 0.2500
Pa1 0.0000 0.0000 0.5000
Bi1 0.0000 0.0000 0.2494
Bi2 0.0000 0.5000 0.0000
```

Principal peaks in the range 10° ≤ 2θ ≤ 90°, low angle first:
- 3.143 Å, I 100, hkl 2 0 0
- 2.223 Å, I 78, hkl 2 2 0
- 1.815 Å, I 28, hkl 2 2 4
- 1.573 Å, I 9, hkl 4 0 0
- 1.569 Å, I 4, hkl 0 0 8
- 1.407 Å, I 25, hkl 4 2 0
- 1.404 Å, I 12, hkl 2 0 8
- 1.284 Å, I 19, hkl 4 2 4
- 1.282 Å, I 9, hkl 2 2 8
- 1.111 Å, I 6, hkl 4 0 8